1.
# Nb2TeSeS
Calculated powder XRD pattern, Cu Kα (λ = 1.5418 Å). Input: a crystal structure in Alexandria, relaxed with PBE.
No peak broadening, texture or thermal motion is included.

Structural model:
```
data_Nb2TeSeS
_cell_length_a 5.292
_cell_length_b 5.292
_cell_length_c 4.890
_cell_angle_alpha 90.00
_cell_angle_beta 90.00
_cell_angle_gamma 90.00
_space_group_name_H-M_alt 'P 4/m m m'
_space_group_IT_number 123
_space_group_name_Hall '-P 4 2'
loop_
_atom_site_label
_atom_site_type_symbol
_atom_site_fract_x
_atom_site_fract_y
_atom_site_fract_z
Nb1 Nb 0.000 0.500 0.000
Te1 Te 0.000 0.000 0.000
Se1 Se 0.500 0.500 0.500
S1 S 0.000 0.000 0.500
```

Principal peaks in the range 15° ≤ 2θ ≤ 90°, sorted by position:
2θ = 18.14°, I 52.7
2θ = 24.79°, I 70.3
2θ = 30.07°, I 49.7
2θ = 33.88°, I 100.0
2θ = 36.76°, I 39.8
2θ = 38.69°, I 31.1
2θ = 42.43°, I 34.1
2θ = 48.66°, I 35.0
2θ = 50.84°, I 61.4
2θ = 62.50°, I 32.5

---

2.
# Tl2TeHS4
Calculated powder XRD pattern, Cu Kα (λ = 1.5418 Å). Input: a crystal structure in Alexandria, relaxed with PBE.
No peak broadening, texture or thermal motion is included.

Structural model:
```
data_Tl2TeHS4
_cell_length_a 11.578
_cell_length_b 8.728
_cell_length_c 7.966
_cell_angle_alpha 90.00
_cell_angle_beta 100.37
_cell_angle_gamma 90.00
_space_group_name_H-M_alt 'C 1 2/c 1'
_space_group_IT_number 15
loop_
_space_group_symop_operation_xyz
'x,y,z'
'-x,-y,-z'
'-x,y,-z+1/2'
'x,-y,z+1/2'
'x+1/2,y+1/2,z'
'-x+1/2,-y+1/2,-z'
'-x+1/2,y+1/2,-z+1/2'
'x+1/2,-y+1/2,z+1/2'
loop_
_atom_site_label
_atom_site_type_symbol
_atom_site_fract_x
_atom_site_fract_y
_atom_site_fract_z
Tl1 Tl 0.000 0.000 0.000
Tl2 Tl 0.250 0.250 0.000
Te1 Te 0.250 0.250 0.500
H1 H 0.000 0.500 0.000
S1 S 0.039 0.323 0.554
S2 S 0.175 0.028 0.286
```

Principal peaks in the range 15° ≤ 2θ ≤ 90°, sorted by position:
2θ = 22.70°, I 89.6
2θ = 25.72°, I 100.0
2θ = 31.42°, I 59.8
2θ = 31.74°, I 24.3
2θ = 32.58°, I 66.8
2θ = 35.48°, I 43.5
2θ = 36.46°, I 63.8
2θ = 41.38°, I 22.0
2θ = 50.97°, I 27.8
2θ = 52.58°, I 23.6

---

3.
# Y2Ho12Th
Calculated powder XRD pattern, Cu Kα (λ = 1.5418 Å). Input: a crystal structure in Alexandria, relaxed with PBE.
No peak broadening, texture or thermal motion is included.

Structural model:
```
data_Y2Ho12Th
_cell_length_a 3.591
_cell_length_b 5.648
_cell_length_c 23.440
_cell_angle_alpha 90.00
_cell_angle_beta 94.37
_cell_angle_gamma 90.00
_space_group_name_H-M_alt 'P 1 2/m 1'
_space_group_IT_number 10
loop_
_space_group_symop_operation_xyz
'x,y,z'
'-x,-y,-z'
'-x,y,-z'
'x,-y,z'
loop_
_atom_site_label
_atom_site_type_symbol
_atom_site_fract_x
_atom_site_fract_y
_atom_site_fract_z
Y1 Y 0.140 0.000 0.285
Ho1 Ho 0.094 0.500 0.194
Ho2 Ho 0.220 0.500 0.443
Ho3 Ho 0.289 0.000 0.574
Ho4 Ho 0.341 0.500 0.677
Ho5 Ho 0.432 0.000 0.854
Ho6 Ho 0.465 0.500 0.933
Th1 Th 0.000 0.000 0.000
```

Principal peaks in the range 15° ≤ 2θ ≤ 90°, sorted by position:
2θ = 30.26°, I 21.1
2θ = 31.10°, I 38.8
2θ = 31.68°, I 47.7
2θ = 32.44°, I 100.0
2θ = 34.26°, I 21.7
2θ = 34.56°, I 24.1
2θ = 44.38°, I 15.0
2θ = 50.86°, I 15.7
2θ = 56.92°, I 20.3
2θ = 61.16°, I 14.7

---

4.
# Ca2SiGeRh6
Calculated powder XRD pattern, Cu Kα (λ = 1.5418 Å). Input: a crystal structure in Alexandria, relaxed with PBE.
No peak broadening, texture or thermal motion is included.

Structural model:
```
data_Ca2SiGeRh6
_cell_length_a 9.100
_cell_length_b 9.100
_cell_length_c 9.100
_cell_angle_alpha 90.00
_cell_angle_beta 90.00
_cell_angle_gamma 90.00
_space_group_name_H-M_alt 'F m -3 m'
_space_group_IT_number 225
_space_group_name_Hall '-F 4 2 3'
loop_
_atom_site_label
_atom_site_type_symbol
_atom_site_fract_x
_atom_site_fract_y
_atom_site_fract_z
Ca1 Ca 0.250 0.250 0.250
Si1 Si 0.000 0.000 0.000
Ge1 Ge 0.000 0.000 0.500
Rh1 Rh 0.000 0.000 0.245
```

Principal peaks in the range 15° ≤ 2θ ≤ 90°, sorted by position:
2θ = 19.51°, I 44.0
2θ = 34.13°, I 100.0
2θ = 39.62°, I 88.3
2θ = 44.53°, I 20.1
2θ = 57.27°, I 58.0
2θ = 61.10°, I 9.8
2θ = 68.38°, I 36.9
2θ = 71.88°, I 19.1
2θ = 85.33°, I 9.1
2θ = 88.63°, I 5.8

---

5.
# ZnCd5Au2
Calculated powder XRD pattern, Cu Kα (λ = 1.5418 Å). Input: a crystal structure in Alexandria, relaxed with PBE.
No peak broadening, texture or thermal motion is included.

Structural model:
```
data_ZnCd5Au2
_cell_length_a 4.401
_cell_length_b 9.818
_cell_length_c 15.061
_cell_angle_alpha 90.00
_cell_angle_beta 90.00
_cell_angle_gamma 90.00
_space_group_name_H-M_alt 'C m c m'
_space_group_IT_number 63
_space_group_name_Hall '-C 2c 2'
loop_
_atom_site_label
_atom_site_type_symbol
_atom_site_fract_x
_atom_site_fract_y
_atom_site_fract_z
Zn1 Zn 0.000 0.230 0.250
Cd1 Cd 0.000 0.048 0.103
Cd2 Cd 0.000 0.355 0.037
Cd3 Cd 0.000 0.497 0.750
Au1 Au 0.000 0.242 0.647
```

Principal peaks in the range 15° ≤ 2θ ≤ 90°, sorted by position:
2θ = 22.92°, I 22.5
2θ = 32.60°, I 57.0
2θ = 34.67°, I 42.5
2θ = 36.23°, I 41.0
2θ = 37.32°, I 100.0
2θ = 38.58°, I 22.5
2θ = 38.69°, I 45.9
2θ = 40.36°, I 24.1
2θ = 41.00°, I 63.9
2θ = 45.84°, I 22.9

---

6.
# NaMo2N
Calculated powder XRD pattern, Cu Kα (λ = 1.5418 Å). Input: a crystal structure in Alexandria, relaxed with PBE.
No peak broadening, texture or thermal motion is included.

Structural model:
```
data_NaMo2N
_cell_length_a 6.313
_cell_length_b 6.313
_cell_length_c 8.026
_cell_angle_alpha 90.00
_cell_angle_beta 90.00
_cell_angle_gamma 90.00
_space_group_name_H-M_alt 'I -4 2 d'
_space_group_IT_number 122
_space_group_name_Hall 'I -4 2bw'
loop_
_atom_site_label
_atom_site_type_symbol
_atom_site_fract_x
_atom_site_fract_y
_atom_site_fract_z
Na1 Na 0.000 0.000 0.000
Mo1 Mo 0.071 0.250 0.625
N1 N 0.000 0.000 0.500
```

Principal peaks in the range 15° ≤ 2θ ≤ 90°, sorted by position:
2θ = 17.88°, I 100.0
2θ = 29.94°, I 36.3
2θ = 33.65°, I 91.4
2θ = 36.21°, I 62.6
2θ = 36.48°, I 22.4
2θ = 45.43°, I 24.2
2θ = 46.78°, I 28.4
2θ = 61.67°, I 15.3
2θ = 66.02°, I 15.4
2θ = 67.08°, I 23.9

---

7.
# CaP2W
Calculated powder XRD pattern, Cu Kα (λ = 1.5418 Å). Input: a crystal structure in Alexandria, relaxed with PBE.
No peak broadening, texture or thermal motion is included.

Structural model:
```
data_CaP2W
_cell_length_a 3.117
_cell_length_b 3.144
_cell_length_c 6.872
_cell_angle_alpha 90.00
_cell_angle_beta 90.00
_cell_angle_gamma 90.00
_space_group_name_H-M_alt 'P m m m'
_space_group_IT_number 47
loop_
_space_group_symop_operation_xyz
'x,y,z'
'-x,-y,-z'
'-x,-y,z'
'x,y,-z'
'x,-y,-z'
'-x,y,z'
'-x,y,-z'
'x,-y,z'
loop_
_atom_site_label
_atom_site_type_symbol
_atom_site_fract_x
_atom_site_fract_y
_atom_site_fract_z
Ca1 Ca 0.000 0.000 0.000
P1 P 0.500 0.500 0.299
W1 W 0.000 0.000 0.500
```

Principal peaks in the range 15° ≤ 2θ ≤ 90°, sorted by position:
2θ = 25.93°, I 57.4
2θ = 28.39°, I 39.9
2θ = 28.64°, I 39.1
2θ = 31.29°, I 34.1
2θ = 31.51°, I 33.5
2θ = 38.83°, I 100.0
2θ = 39.01°, I 98.6
2θ = 40.76°, I 94.3
2θ = 42.93°, I 51.3
2θ = 48.95°, I 42.6